Computed powder X-ray diffraction pattern of Li6Co5O10 for Cu Kα, from DFT lattice parameters and positions (GGA+U).
No peak broadening, texture or thermal motion is included.

Top 12 peaks for 15° ≤ 2θ ≤ 90°, most intense first:
- (1 0 0), 2θ = 17.5°, rel. 100.0
- (0 1 2), 2θ = 28.2°, rel. 76.2
- (1 1 2), 2θ = 27.9°, rel. 69.1
- (2 2 -1), 2θ = 45.2°, rel. 22.4
- (1 -2 1), 2θ = 43.2°, rel. 17.5
- (2 -1 3), 2θ = 50.1°, rel. 16.0
- (1 2 -1), 2θ = 36.4°, rel. 15.2
- (2 1 -3), 2θ = 53.1°, rel. 14.4
- (1 1 -3), 2θ = 41.5°, rel. 12.2
- (1 2 4), 2θ = 54.9°, rel. 11.3
- (1 -1 3), 2θ = 39.7°, rel. 10.5
- (-1 1 2), 2θ = 38.1°, rel. 8.1

Atomic structure:
```
Li6Co5O10
1.0
5.397 0.000 0.000
1.489 5.227 0.000
1.693 -0.352 8.221
Li Co O
6 5 10
Cartesian
0.000 0.000 0.000
2.494 4.765 5.190
2.069 2.457 3.997
2.559 5.057 2.457
1.477 2.438 0.838
7.246 2.006 6.750
4.593 1.571 6.238
5.902 4.610 7.899
4.967 3.672 4.567
4.098 2.680 1.252
3.885 0.515 2.889
3.313 0.908 7.366
3.511 2.890 5.409
2.911 4.006 0.827
3.981 5.058 3.882
2.812 1.860 2.286
5.949 2.299 5.223
5.782 0.331 6.843
5.355 3.465 0.196
6.440 4.433 3.714
5.161 1.198 1.724
```